Structure and computed powder X-ray diffraction pattern of Tb3Bi2 (a crystal structure in Alexandria, relaxed with PBE; copper Kα).
Lines closer than 0.1° are merged.

Cell and atoms:
a b c (Å): 9.7316 8.0484 8.0509
angles (deg): 90.00 90.00 90.00
Space group Pbcn (No. 60)
Asymmetric unit:
Tb1 0.0000 0.1338 0.2500 (multiplicity 4)
Tb2 0.1495 0.4846 0.6220 (multiplicity 8)
Bi1 0.1495 0.2016 0.8879 (multiplicity 8)

Most intense lines, 2θ from 10° to 80°, by angle:
- hkl 2 1 1, 24.06°, intensity 56.1
- hkl 1 2 1, 26.40°, intensity 27.3
- hkl 2 1 2, 30.90°, intensity 90.1
- hkl 3 1 1, 31.75°, intensity 58.0
- hkl 1 2 2, 32.79°, intensity 100.0
- hkl 1 3 0, 34.68°, intensity 39.8
- hkl 1 1 3, 36.48°, intensity 37.1
- hkl 0 0 4, 45.00°, intensity 34.3
- hkl 5 2 2, 57.35°, intensity 31.9
- hkl 4 0 4, 59.62°, intensity 27.2
- hkl 3 3 4, 64.63°, intensity 28.2
- hkl 2 5 2, 65.31°, intensity 23.5